# 1
Starting from a GGA-PBE-relaxed structure, the powder XRD pattern of Ta3Au5 was calculated for Cu Kα (λ = 1.5418 Å).
Neutral-atom scattering factors, no anomalous dispersion.

abc: 5.731 7.536 7.557
angles: 84.32 69.52 69.43
Element x y z (fractional)
Ta1 0.004 0.088 0.166
Ta2 0.249 0.533 0.969
Ta3 0.495 0.334 0.413
Ta4 0.505 0.666 0.587
Ta5 0.751 0.467 0.031
Ta6 0.996 0.912 0.834
Au1 0.007 0.587 0.663
Au2 0.232 0.211 0.793
Au3 0.249 0.038 0.463
Au4 0.269 0.706 0.289
Au5 0.494 0.838 0.912
Au6 0.506 0.162 0.088
Au7 0.731 0.294 0.711
Au8 0.751 0.962 0.537
Au9 0.768 0.789 0.207
Au10 0.993 0.413 0.337

Main lines, by angle (10° ≤ 2θ ≤ 80°):
| 2θ/deg | I/Imax | h k l |
| --- | --- | --- |
| 37.01 | 92 | 2 2 2 |
| 39.87 | 60 | 2 1 -1 |
| 39.93 | 58 | 2 -1 1 |
| 40.15 | 100 | 1 3 -1 |
| 40.66 | 57 | 0 1 3 |
| 40.77 | 56 | 0 3 1 |


# 2
Starting from a GGA-PBE-relaxed structure, the powder XRD pattern of HAu2F6 was calculated for Cu Kα (λ = 1.5418 Å).
Neutral-atom scattering factors, no anomalous dispersion.

abc: 5.850 6.042 8.512
angles: 95.59 97.77 103.66
Element x y z (fractional)
H1 0.141 0.318 0.384
H2 0.859 0.682 0.616
Au1 0.203 0.551 0.810
Au2 0.434 0.827 0.331
Au3 0.566 0.173 0.669
Au4 0.797 0.449 0.190
F1 0.027 0.786 0.774
F2 0.104 0.669 0.163
F3 0.239 0.426 0.475
F4 0.259 0.970 0.501
F5 0.381 0.309 0.844
F6 0.499 0.767 0.792
F7 0.501 0.233 0.208
F8 0.619 0.691 0.156
F9 0.741 0.030 0.499
F10 0.761 0.574 0.525
F11 0.896 0.331 0.837
F12 0.973 0.214 0.226

Main lines, by angle (10° ≤ 2θ ≤ 80°):
| 2θ/deg | I/Imax | h k l |
| --- | --- | --- |
| 17.36 | 74 | 0 1 -1 |
| 19.00 | 100 | 1 -1 0 |
| 21.26 | 76 | 0 0 2 |
| 24.97 | 100 | 1 1 -1 |
| 28.25 | 86 | -1 1 2 |
| 28.71 | 95 | 1 1 1 |


What did the first record say?
Starting from a GGA-PBE-relaxed structure, the powder XRD pattern of Ta3Au5 was calculated for Cu Kα (λ = 1.5418 Å).
Neutral-atom scattering factors, no anomalous dispersion.

abc: 5.731 7.536 7.557
angles: 84.32 69.52 69.43
Element x y z (fractional)
Ta1 0.004 0.088 0.166
Ta2 0.249 0.533 0.969
Ta3 0.495 0.334 0.413
Ta4 0.505 0.666 0.587
Ta5 0.751 0.467 0.031
Ta6 0.996 0.912 0.834
Au1 0.007 0.587 0.663
Au2 0.232 0.211 0.793
Au3 0.249 0.038 0.463
Au4 0.269 0.706 0.289
Au5 0.494 0.838 0.912
Au6 0.506 0.162 0.088
Au7 0.731 0.294 0.711
Au8 0.751 0.962 0.537
Au9 0.768 0.789 0.207
Au10 0.993 0.413 0.337

Main lines, by angle (10° ≤ 2θ ≤ 80°):
| 2θ/deg | I/Imax | h k l |
| --- | --- | --- |
| 37.01 | 92 | 2 2 2 |
| 39.87 | 60 | 2 1 -1 |
| 39.93 | 58 | 2 -1 1 |
| 40.15 | 100 | 1 3 -1 |
| 40.66 | 57 | 0 1 3 |
| 40.77 | 56 | 0 3 1 |